For SrAl3PSO14, a crystal structure in Alexandria, relaxed with GGA-PBE gives the computed PXRD pattern in this record (Cu Kα).

Main lines, low angle first (2θ = 15–90°):
2θ (°)	d/Å	I_rel
15.52	5.709	67.3
25.54	3.487	49.6
29.86	2.993	100.0
30.67	2.915	13.5
39.01	2.309	41.6
40.85	2.209	16.4
47.79	1.903	39.3
52.48	1.744	21.9
61.24	1.513	20.3
62.02	1.496	11.3
73.69	1.286	13.4
79.01	1.212	9.6

Structure:
```
data_SrAl3PSO14
_space_group_name_H-M_alt 'P 1'
_space_group_IT_number 1
_space_group_name_Hall 'P 1'
_cell_length_a 7.0852
_cell_length_b 7.0852
_cell_length_c 7.0852
_cell_angle_alpha 58.97
_cell_angle_beta 58.97
_cell_angle_gamma 58.97
loop_
_atom_site_label
_atom_site_type_symbol
_atom_site_fract_x
_atom_site_fract_y
_atom_site_fract_z
_atom_site_occupancy
Sr1 Sr 0.0000 0.0000 0.0000 1
Al1 Al 0.0016 0.0016 0.4998 1
Al2 Al 0.0016 0.4998 0.0016 1
Al3 Al 0.4998 0.0016 0.0016 1
P1 P 0.3075 0.3075 0.3075 1
S1 S 0.6925 0.6925 0.6925 1
O1 O 0.0884 0.7488 0.7488 1
O2 O 0.1555 0.1555 0.5167 1
O3 O 0.1555 0.5167 0.1555 1
O4 O 0.2504 0.2504 0.9106 1
O5 O 0.2504 0.9106 0.2504 1
O6 O 0.3951 0.3951 0.3951 1
O7 O 0.4917 0.8408 0.8408 1
O8 O 0.5167 0.1555 0.1555 1
O9 O 0.6104 0.6104 0.6104 1
O10 O 0.7488 0.0884 0.7488 1
O11 O 0.7488 0.7488 0.0884 1
O12 O 0.8408 0.4917 0.8408 1
O13 O 0.8408 0.8408 0.4917 1
O14 O 0.9106 0.2504 0.2504 1
```